For LiV2OF5, a GGA+U-relaxed structure gives the simulated X-ray powder pattern in this record (Cu Kα X-rays).
Lines closer than 0.1° are merged.

Crystal structure
abc: 5.158 5.189 5.532
angles: 91.28 117.49 118.39
Fractional coordinates of all 9 atoms:
Li 0.000 0.000 0.000
V 0.620 0.809 0.368
V 0.622 0.336 0.901
O 0.730 0.683 0.132
F 0.110 0.420 0.137
F 0.123 0.176 0.637
F 0.463 0.058 0.137
F 0.548 0.976 0.659
F 0.755 0.601 0.658

Largest 12 diffraction maxima, in order of rising 2θ, 15° ≤ 2θ ≤ 90°:
- 2θ = 23.3°, I 100
- 2θ = 23.8°, I 50
- 2θ = 32.2°, I 11
- 2θ = 32.4°, I 11
- 2θ = 32.5°, I 12
- 2θ = 39.2°, I 9
- 2θ = 39.7°, I 13
- 2θ = 47.5°, I 21
- 2θ = 48.8°, I 9
- 2θ = 52.6°, I 18
- 2θ = 54.5°, I 9
- 2θ = 60.9°, I 9

For LiV4OF11, a GGA+U-relaxed structure gives the simulated X-ray powder pattern in this record (Cu Kα X-rays).
Lines closer than 0.1° are merged.

Crystal structure
abc: 5.214 5.501 7.633
angles: 94.42 90.34 90.80
Fractional coordinates of all 17 atoms:
Li 0.000 0.000 0.000
V 0.003 0.444 0.811
V 0.478 0.907 0.807
V 0.499 0.921 0.310
V 0.997 0.424 0.314
O 0.190 0.730 0.865
F 0.108 0.409 0.554
F 0.182 0.105 0.239
F 0.273 0.212 0.878
F 0.304 0.616 0.256
F 0.390 0.929 0.554
F 0.627 0.920 0.063
F 0.686 0.230 0.361
F 0.690 0.609 0.747
F 0.799 0.116 0.781
F 0.809 0.734 0.365
F 0.888 0.415 0.068

Largest 12 diffraction maxima, in order of rising 2θ, 15° ≤ 2θ ≤ 90°:
- 2θ = 23.4°, I 100
- 2θ = 23.7°, I 50
- 2θ = 32.5°, I 19
- 2θ = 32.7°, I 10
- 2θ = 39.4°, I 14
- 2θ = 39.6°, I 12
- 2θ = 47.8°, I 20
- 2θ = 48.5°, I 9
- 2θ = 52.7°, I 22
- 2θ = 52.8°, I 7
- 2θ = 53.2°, I 7
- 2θ = 55.0°, I 7

For Li3V2O4F2, a GGA+U-relaxed structure gives the simulated X-ray powder pattern in this record (Cu Kα X-rays).
Lines closer than 0.1° are merged.

Crystal structure
abc: 5.993 5.993 14.881
angles: 90.34 90.34 59.72
Fractional coordinates of all 44 atoms:
Li 0.000 0.000 0.000
Li 0.004 0.004 0.494
Li 0.171 0.171 0.850
Li 0.202 0.670 0.871
Li 0.341 0.341 0.114
Li 0.345 0.814 0.123
Li 0.505 0.998 0.493
Li 0.535 0.961 0.990
Li 0.670 0.202 0.871
Li 0.814 0.345 0.123
Li 0.961 0.535 0.990
Li 0.998 0.505 0.493
V 0.169 0.671 0.329
V 0.171 0.171 0.323
V 0.340 0.836 0.657
V 0.342 0.342 0.655
V 0.667 0.667 0.327
V 0.671 0.169 0.329
V 0.835 0.835 0.669
V 0.836 0.340 0.657
O 0.003 0.495 0.261
O 0.004 0.004 0.264
O 0.005 0.005 0.725
O 0.019 0.503 0.725
O 0.155 0.671 0.587
O 0.172 0.172 0.582
O 0.332 0.852 0.401
O 0.333 0.333 0.399
O 0.495 0.003 0.261
O 0.501 0.501 0.724
O 0.503 0.019 0.725
O 0.515 0.515 0.260
O 0.671 0.155 0.587
O 0.680 0.680 0.588
O 0.827 0.827 0.403
O 0.852 0.332 0.401
F 0.164 0.670 0.072
F 0.165 0.165 0.084
F 0.322 0.870 0.916
F 0.332 0.332 0.903
F 0.670 0.164 0.072
F 0.671 0.671 0.075
F 0.852 0.852 0.913
F 0.870 0.322 0.916

Largest 12 diffraction maxima, in order of rising 2θ, 15° ≤ 2θ ≤ 90°:
- 2θ = 17.9°, I 100
- 2θ = 23.9°, I 14
- 2θ = 30.0°, I 11
- 2θ = 35.1°, I 14
- 2θ = 35.2°, I 29
- 2θ = 42.5°, I 98
- 2θ = 55.9°, I 11
- 2θ = 61.1°, I 7
- 2θ = 61.5°, I 15
- 2θ = 61.9°, I 18
- 2θ = 62.2°, I 10
- 2θ = 78.3°, I 8